No. 1
The following is a theoretical X-ray powder pattern of HoZn5Au2. It was derived from a structure optimized by DFT (GGA-PBE), using Cu Kα (weighted mean of Kα1 and Kα2).

Peak list (8 most intense, 2θ from 15° to 90°, low angle first)
2theta, Rel. int., index
22.7, 42, 0 2 0
32.5, 100, 1 1 2
35.0, 57, 1 2 1
36.3, 48, 1 0 3
42.1, 77, 0 2 4
42.9, 30, 1 3 0
46.5, 41, 1 3 2
68.1, 36, 2 2 4

Atomic structure:
Lattice parameters (Å, degrees): 3.591 7.825 10.257 90.00 90.00 90.00
Space group Immm (No. 71)
Symmetry-distinct sites (fractional):
Ho 0.000 0.000 0.000 x2
Zn 0.000 0.199 0.370 x8
Zn 0.000 0.500 0.000 x2
Au 0.000 0.500 0.261 x4


No. 2
The following is a theoretical X-ray powder pattern of K7Rb12Pd. It was derived from a structure optimized by DFT (GGA-PBE), using Cu Kα (weighted mean of Kα1 and Kα2).

Peak list (8 most intense, 2θ from 15° to 90°, low angle first)
2theta, Rel. int., index
17.9, 88, 1 3 1
20.4, 60, 3 2 1
22.5, 96, 2 0 2
22.7, 100, 0 5 1
24.8, 99, 5 1 1
25.2, 47, 5 2 0
35.2, 46, 5 5 0
35.5, 66, 0 7 2

Atomic structure:
Lattice parameters (Å, degrees): 25.5296 25.5296 8.4675 90.00 90.00 120.00
Space group R-3m (No. 166, hexagonal axes)
Symmetry-distinct sites (fractional):
K 0.0000 0.0000 0.0000 x3
K 0.0678 0.1357 0.3351 x18
Rb 0.0000 0.4111 0.0000 x18
Rb 0.1028 0.5514 0.5119 x18
Pd 0.0000 0.0000 0.5000 x3


No. 3
The following is a theoretical X-ray powder pattern of La2HgBi6. It was derived from a structure optimized by DFT (GGA-PBE), using Cu Kα (weighted mean of Kα1 and Kα2).

Peak list (8 most intense, 2θ from 15° to 90°, low angle first)
2theta, Rel. int., index
29.6, 100, 3 1 -2
32.0, 40, 6 0 -1
32.3, 82, 3 1 1
35.9, 28, 0 0 3
39.6, 25, 0 2 0
51.8, 21, 6 2 -1
53.8, 15, 9 1 -3
54.5, 18, 0 2 3

Atomic structure:
Lattice parameters (Å, degrees): 16.980 4.553 8.473 90.00 117.63 90.00
Space group C2/m (No. 12)
Symmetry-distinct sites (fractional):
La 0.059 0.000 0.327 x4
Hg 0.000 0.500 0.000 x2
Bi 0.094 0.500 0.663 x4
Bi 0.169 0.000 0.041 x4
Bi 0.218 0.500 0.331 x4


No. 4
The following is a theoretical X-ray powder pattern of Nd4YP5. It was derived from a structure optimized by DFT (GGA-PBE), using Cu Kα (weighted mean of Kα1 and Kα2).

Peak list (8 most intense, 2θ from 15° to 90°, low angle first)
2theta, Rel. int., index
26.4, 74, 2 1 1
30.5, 100, 1 3 0
43.7, 73, 4 2 0
51.8, 37, 5 0 1
54.3, 26, 4 2 2
70.1, 15, 6 3 1
72.2, 32, 1 3 4
80.4, 24, 4 2 4

Atomic structure:
Lattice parameters (Å, degrees): 9.253 9.253 5.856 90.00 90.00 90.00
Space group I4/m (No. 87)
Symmetry-distinct sites (fractional):
Nd 0.099 0.300 0.000 x8
Y 0.000 0.000 0.500 x2
P 0.000 0.000 0.000 x2
P 0.099 0.296 0.500 x8


No. 5
The following is a theoretical X-ray powder pattern of Ba2Cd4Hg3Au. It was derived from a structure optimized by DFT (GGA-PBE), using Cu Kα (weighted mean of Kα1 and Kα2).

Peak list (8 most intense, 2θ from 15° to 90°, low angle first)
2theta, Rel. int., index
28.7, 45, 1 0 3
29.7, 100, 1 1 2
36.7, 72, 2 0 0
39.6, 48, 1 1 4
41.6, 27, 1 0 5
47.2, 23, 2 1 3
52.8, 25, 2 2 0
61.8, 26, 3 1 2

Atomic structure:
Lattice parameters (Å, degrees): 4.901 4.901 12.092 90.00 90.00 90.00
Space group P-4m2 (No. 115)
Symmetry-distinct sites (fractional):
Ba 0.000 0.500 0.239 x2
Cd 0.000 0.000 0.500 x1
Cd 0.000 0.500 0.877 x2
Cd 0.500 0.500 0.500 x1
Hg 0.000 0.000 0.000 x1
Hg 0.000 0.500 0.641 x2
Au 0.500 0.500 0.000 x1


No. 6
The following is a theoretical X-ray powder pattern of YZrAsP. It was derived from a structure optimized by DFT (GGA-PBE), using Cu Kα (weighted mean of Kα1 and Kα2).

Peak list (8 most intense, 2θ from 15° to 90°, low angle first)
2theta, Rel. int., index
27.1, 34, 1 0 1
28.1, 21, 0 1 2
32.1, 34, 1 0 4
34.8, 100, 0 1 5
41.3, 31, 1 0 7
47.1, 51, 1 1 0
59.9, 20, 2 0 5
74.8, 19, 1 1 12

Atomic structure:
Lattice parameters (Å, degrees): 3.8563 3.8563 20.2381 90.00 90.00 120.00
Space group R3m (No. 160, hexagonal axes)
Symmetry-distinct sites (fractional):
Y 0.0000 0.0000 0.0000 x3
Zr 0.0000 0.0000 0.1802 x3
As 0.0000 0.0000 0.7627 x3
P 0.0000 0.0000 0.5837 x3


No. 7
The following is a theoretical X-ray powder pattern of PrNd3. It was derived from a structure optimized by DFT (GGA-PBE), using Cu Kα (weighted mean of Kα1 and Kα2).

Peak list (8 most intense, 2θ from 15° to 90°, low angle first)
2theta, Rel. int., index
29.6, 100, 1 1 2
34.1, 17, 0 0 4
34.5, 34, 2 0 0
49.3, 24, 2 0 4
49.5, 12, 2 2 0
58.4, 15, 1 1 6
58.8, 29, 3 1 2
61.5, 13, 2 2 4

Atomic structure:
Lattice parameters (Å, degrees): 5.205 5.205 10.502 90.00 90.00 90.00
Space group I4/mmm (No. 139)
Symmetry-distinct sites (fractional):
Pr 0.000 0.000 0.000 x2
Nd 0.000 0.000 0.500 x2
Nd 0.000 0.500 0.250 x4


No. 8
The following is a theoretical X-ray powder pattern of SiRhPb4. It was derived from a structure optimized by DFT (GGA-PBE), using Cu Kα (weighted mean of Kα1 and Kα2).

Peak list (8 most intense, 2θ from 15° to 90°, low angle first)
2theta, Rel. int., index
17.4, 62, 1 1 1
33.8, 100, 3 1 1
35.3, 78, 2 2 2
41.0, 27, 4 0 0
54.1, 35, 3 3 3
59.4, 36, 4 4 0
71.0, 32, 6 2 2
84.5, 23, 7 3 1

Atomic structure:
Lattice parameters (Å, degrees): 8.804 8.804 8.804 90.00 90.00 90.00
Space group F-43m (No. 216)
Symmetry-distinct sites (fractional):
Si 0.000 0.000 0.000 x4
Rh 0.250 0.250 0.250 x4
Pb 0.125 0.125 0.625 x16


No. 9
The following is a theoretical X-ray powder pattern of Tb2Pd4Se5. It was derived from a structure optimized by DFT (GGA-PBE), using Cu Kα (weighted mean of Kα1 and Kα2).

Peak list (8 most intense, 2θ from 15° to 90°, low angle first)
2theta, Rel. int., index
16.1, 32, 0 0 9
25.7, 39, 1 0 4
28.6, 20, 0 1 8
31.7, 94, 0 1 11
38.3, 46, 1 0 16
43.4, 100, 1 1 0
44.3, 31, 0 1 20
47.5, 28, 1 0 22

Atomic structure:
Lattice parameters (Å, degrees): 4.1723 4.1723 49.6057 90.00 90.00 120.00
Space group R-3m (No. 166, hexagonal axes)
Symmetry-distinct sites (fractional):
Tb 0.0000 0.0000 0.1293 x6
Pd 0.0000 0.0000 0.3166 x6
Pd 0.0000 0.0000 0.4205 x6
Se 0.0000 0.0000 0.2339 x6
Se 0.0000 0.0000 0.3682 x6
Se 0.0000 0.0000 0.5000 x3


No. 10
The following is a theoretical X-ray powder pattern of Sc3UOs3. It was derived from a structure optimized by DFT (GGA-PBE), using Cu Kα (weighted mean of Kα1 and Kα2).

Peak list (8 most intense, 2θ from 15° to 90°, low angle first)
2theta, Rel. int., index
19.2, 92, 1 0 1
34.1, 46, 2 1 1
38.9, 100, 2 0 2
39.9, 93, 2 2 0
44.6, 22, 1 3 1
56.9, 33, 0 4 2
69.7, 18, 0 2 4
71.7, 33, 4 2 2

Atomic structure:
Lattice parameters (Å, degrees): 9.0483 9.0483 5.7446 90.00 90.00 120.00
Space group R-3m (No. 166, hexagonal axes)
Symmetry-distinct sites (fractional):
Sc 0.0000 0.5000 0.0000 x9
U 0.0000 0.0000 0.0000 x3
Os 0.0000 0.5000 0.5000 x9